Simulated X-ray powder pattern of SmY4MgS8 for Cu Ka, from a DFT-relaxed cell (GGA-PBE, Alexandria).
Lines closer than 0.1° are merged.

Crystal structure
a b c (Å): 8.0071 8.0071 19.6912
angles (deg): 90.00 90.00 120.00
Space group R3m (No. 160, hexagonal axes)
Symmetry-distinct sites (fractional):
Sm: 0.0000 0.0000 0.0000 (multiplicity 3)
Y: 0.0000 0.0000 0.6229 (multiplicity 3)
Y: 0.1703 0.3407 0.8299 (multiplicity 9)
Mg: 0.0000 0.0000 0.3728 (multiplicity 3)
S: 0.0000 0.0000 0.2439 (multiplicity 3)
S: 0.0000 0.0000 0.7561 (multiplicity 3)
S: 0.0069 0.5034 0.7501 (multiplicity 9)
S: 0.1761 0.3521 0.5763 (multiplicity 9)

Largest 10 diffraction maxima, by angle, 15 to 90 degrees two-theta:
2θ/deg, d [Å], I_rel
22.20, 4.005, 15
26.06, 3.419, 100
31.56, 2.835, 56
41.40, 2.181, 38
45.18, 2.007, 38
45.30, 2.002, 38
56.26, 1.635, 10
63.04, 1.475, 10
65.90, 1.417, 12
83.62, 1.156, 18